This entry pairs a crystal structure of LiTi3VO8 with its calculated powder XRD pattern. Radiation: λ = 1.5418 Å (Cu Kα). Structure: a crystal structure in Alexandria, relaxed with PBE+U.
No peak broadening, texture or thermal motion is included.

Crystal structure
```
LiTi3VO8
1.0
2.994 1.728 5.054
-2.994 1.728 5.054
0.000 -3.457 5.054
Li Ti V O
1 3 1 8
direct
0.000 0.000 0.000 Li
0.000 0.000 0.500 Ti
0.000 0.500 0.000 Ti
0.500 0.000 0.000 Ti
0.500 0.500 0.500 V
0.220 0.741 0.741 O
0.232 0.232 0.232 O
0.259 0.259 0.780 O
0.259 0.780 0.259 O
0.741 0.220 0.741 O
0.741 0.741 0.220 O
0.768 0.768 0.768 O
0.780 0.259 0.259 O
```

Most intense lines, 2θ = 5–70°, low angle first:
2θ (°)  d/Å  I (rel.)
17.55  5.054  100
35.12  2.555  27
42.23  2.140  51
55.26  1.662  15
62.00  1.497  14
64.98  1.435  12